Record 1
LaTi2Al20: computed powder diffractogram (CuKα), based on a crystal structure in the Materials Project, relaxed with GGA-PBE.
Neutral-atom scattering factors, no anomalous dispersion.

Principal peaks in the range 2θ = 15–90°, sorted by position:
| 2θ/deg | Rel. int. |
| --- | --- |
| 16.98 | 47 |
| 19.94 | 76 |
| 34.36 | 42 |
| 35.98 | 100 |
| 38.56 | 65 |
| 40.04 | 91 |
| 40.52 | 67 |
| 52.59 | 42 |
| 64.34 | 25 |
| 72.41 | 42 |

Structural model:
```
LaTi2Al20
1.0
0.0000 7.3829 7.3829
7.3829 0.0000 7.3829
7.3829 7.3829 0.0000
La Ti Al
2 4 40
Direct
0.1250 0.1250 0.1250
0.8750 0.8750 0.8750
0.0000 0.5000 0.5000
0.5000 0.0000 0.5000
0.5000 0.5000 0.0000
0.5000 0.5000 0.5000
0.0000 0.0000 0.0000
0.0000 0.0000 0.5000
0.0000 0.5000 0.0000
0.0562 0.3258 0.3258
0.0562 0.3258 0.7923
0.0562 0.7923 0.3258
0.2077 0.6742 0.6742
0.2077 0.6742 0.9438
0.2077 0.9438 0.6742
0.2377 0.2377 0.5123
0.2377 0.5123 0.2377
0.2377 0.5123 0.5123
0.3258 0.0562 0.3258
0.3258 0.0562 0.7923
0.3258 0.3258 0.0562
0.3258 0.3258 0.7923
0.3258 0.7923 0.0562
0.3258 0.7923 0.3258
0.4877 0.4877 0.7623
0.4877 0.7623 0.4877
0.4877 0.7623 0.7623
0.5000 0.0000 0.0000
0.5123 0.2377 0.2377
0.5123 0.2377 0.5123
0.5123 0.5123 0.2377
0.6742 0.2077 0.6742
0.6742 0.2077 0.9438
0.6742 0.6742 0.2077
0.6742 0.6742 0.9438
0.6742 0.9438 0.2077
0.6742 0.9438 0.6742
0.7623 0.4877 0.4877
0.7623 0.4877 0.7623
0.7623 0.7623 0.4877
0.7923 0.0562 0.3258
0.7923 0.3258 0.0562
0.7923 0.3258 0.3258
0.9438 0.2077 0.6742
0.9438 0.6742 0.2077
0.9438 0.6742 0.6742
```

***

Record 2
LaUAl4: computed powder diffractogram (CuKα), based on a crystal structure in the Materials Project, relaxed with GGA-PBE.
Neutral-atom scattering factors, no anomalous dispersion.

Principal peaks in the range 2θ = 15–90°, sorted by position:
| 2θ/deg | Rel. int. |
| --- | --- |
| 19.31 | 74 |
| 31.79 | 100 |
| 37.46 | 99 |
| 49.93 | 20 |
| 56.63 | 40 |
| 60.41 | 33 |
| 66.42 | 21 |
| 69.90 | 15 |
| 75.52 | 18 |
| 78.83 | 12 |

Structural model:
```
LaUAl4
1.0
0.0000 3.9809 3.9809
3.9809 0.0000 3.9809
3.9809 3.9809 0.0000
La U Al
1 1 4
Direct
0.0000 0.0000 0.0000
0.2500 0.2500 0.2500
0.1271 0.6243 0.6243
0.6243 0.1271 0.6243
0.6243 0.6243 0.1271
0.6243 0.6243 0.6243
```

***

Record 3
LaU3Al8: computed powder diffractogram (CuKα), based on a crystal structure in the Materials Project, relaxed with GGA-PBE.
Neutral-atom scattering factors, no anomalous dispersion.

Principal peaks in the range 2θ = 15–90°, sorted by position:
| 2θ/deg | Rel. int. |
| --- | --- |
| 19.63 | 100 |
| 32.23 | 74 |
| 32.80 | 50 |
| 38.02 | 40 |
| 38.26 | 29 |
| 38.76 | 45 |
| 50.67 | 18 |
| 57.46 | 15 |
| 57.83 | 20 |
| 61.85 | 23 |

Structural model:
```
LaU3Al8
1.0
2.7777 1.6037 8.8443
-2.7777 1.6037 8.8443
0.0000 -3.2075 8.8443
La U Al
1 3 8
Direct
0.0000 0.0000 0.0000
0.1235 0.1235 0.1235
0.5107 0.5107 0.5107
0.6052 0.6052 0.6052
0.0598 0.0598 0.5568
0.0598 0.5568 0.0598
0.0647 0.5618 0.5618
0.3095 0.3095 0.3095
0.5568 0.0598 0.0598
0.5618 0.0647 0.5618
0.5618 0.5618 0.0647
0.8108 0.8108 0.8108
```

***

Record 4
LaAlZn: computed powder diffractogram (CuKα), based on a crystal structure in the Materials Project, relaxed with GGA-PBE.
Neutral-atom scattering factors, no anomalous dispersion.

Principal peaks in the range 2θ = 15–90°, sorted by position:
| 2θ/deg | Rel. int. |
| --- | --- |
| 22.13 | 54 |
| 22.95 | 18 |
| 31.92 | 90 |
| 32.32 | 54 |
| 32.42 | 100 |
| 33.23 | 21 |
| 38.31 | 45 |
| 39.81 | 60 |
| 50.96 | 23 |
| 52.39 | 19 |

Structural model:
```
LaAlZn
1.0
5.3916 -2.3497 0.0000
5.3916 2.3497 0.0000
-5.3577 0.0000 5.5406
La Al Zn
2 2 2
Direct
0.0364 0.0364 0.2897
0.9636 0.9636 0.7103
0.3376 0.3376 0.8951
0.6624 0.6624 0.1049
0.3361 0.3361 0.2788
0.6639 0.6639 0.7212
```

***

Record 5
La2AlZn: computed powder diffractogram (CuKα), based on a crystal structure in the Materials Project, relaxed with GGA-PBE.
Neutral-atom scattering factors, no anomalous dispersion.

Principal peaks in the range 2θ = 15–90°, sorted by position:
| 2θ/deg | Rel. int. |
| --- | --- |
| 23.34 | 14 |
| 23.60 | 27 |
| 33.43 | 100 |
| 33.62 | 49 |
| 41.33 | 12 |
| 47.74 | 9 |
| 48.28 | 18 |
| 59.65 | 18 |
| 60.00 | 36 |
| 70.24 | 11 |

Structural model:
```
La2AlZn
1.0
3.7701 0.0000 0.0000
0.0000 3.7701 0.0000
0.0000 0.0000 7.6210
La Al Zn
2 1 1
Direct
0.0000 0.0000 0.2485
0.0000 0.0000 0.7515
0.5000 0.5000 0.5000
0.5000 0.5000 0.0000
```

***

Record 6
LiLu2Al: computed powder diffractogram (CuKα), based on a crystal structure in the Materials Project, relaxed with GGA-PBE.
Neutral-atom scattering factors, no anomalous dispersion.

Principal peaks in the range 2θ = 15–90°, sorted by position:
| 2θ/deg | Rel. int. |
| --- | --- |
| 21.58 | 1 |
| 24.97 | 85 |
| 35.60 | 100 |
| 43.98 | 26 |
| 51.23 | 18 |
| 57.81 | 35 |
| 63.94 | 37 |
| 75.39 | 11 |
| 80.86 | 17 |
| 86.25 | 17 |

Structural model:
```
LiLu2Al
1.0
0.0000 3.5662 3.5662
3.5662 0.0000 3.5662
3.5662 3.5662 0.0000
Li Lu Al
1 2 1
Direct
0.0000 0.0000 0.0000
0.2500 0.2500 0.2500
0.7500 0.7500 0.7500
0.5000 0.5000 0.5000
```

***

Record 7
LiMg16Al12: computed powder diffractogram (CuKα), based on a crystal structure in the Materials Project, relaxed with GGA-PBE.
Neutral-atom scattering factors, no anomalous dispersion.

Principal peaks in the range 2θ = 15–90°, sorted by position:
| 2θ/deg | Rel. int. |
| --- | --- |
| 34.09 | 10 |
| 36.23 | 100 |
| 40.21 | 32 |
| 42.08 | 10 |
| 43.88 | 23 |
| 62.42 | 7 |
| 65.16 | 27 |
| 66.51 | 8 |
| 67.85 | 7 |
| 76.90 | 9 |

Structural model:
```
LiMg16Al12
1.0
-5.2601 5.2601 5.2601
5.2601 -5.2601 5.2601
5.2601 5.2601 -5.2601
Li Mg Al
1 16 12
Direct
0.0000 0.0000 0.0000
0.0000 0.0000 0.6616
0.0000 0.3989 0.6850
0.0000 0.6616 0.0000
0.0000 0.6850 0.3989
0.2860 0.6011 0.6011
0.3150 0.3150 0.7140
0.3150 0.7140 0.3150
0.3384 0.3384 0.3384
0.3989 0.0000 0.6850
0.3989 0.6850 0.0000
0.6011 0.2860 0.6011
0.6011 0.6011 0.2860
0.6616 0.0000 0.0000
0.6850 0.0000 0.3989
0.6850 0.3989 0.0000
0.7140 0.3150 0.3150
0.0000 0.1861 0.3676
0.0000 0.3676 0.1861
0.1814 0.8139 0.8139
0.1861 0.0000 0.3676
0.1861 0.3676 0.0000
0.3676 0.0000 0.1861
0.3676 0.1861 0.0000
0.6324 0.6324 0.8186
0.6324 0.8186 0.6324
0.8139 0.1814 0.8139
0.8139 0.8139 0.1814
0.8186 0.6324 0.6324
```

***

Record 8
LiMg16Al12: computed powder diffractogram (CuKα), based on a crystal structure in the Materials Project, relaxed with GGA-PBE.
Neutral-atom scattering factors, no anomalous dispersion.

Principal peaks in the range 2θ = 15–90°, sorted by position:
| 2θ/deg | Rel. int. |
| --- | --- |
| 34.10 | 11 |
| 36.22 | 100 |
| 36.30 | 47 |
| 40.19 | 34 |
| 40.34 | 13 |
| 42.06 | 11 |
| 43.88 | 24 |
| 62.36 | 6 |
| 65.13 | 21 |
| 65.24 | 16 |

Structural model:
```
LiMg16Al12
1.0
7.4462 4.2990 3.0272
-7.4462 4.2990 3.0272
0.0000 -8.5981 3.0272
Li Mg Al
1 16 12
Direct
0.0000 0.0000 0.0000
0.0668 0.3526 0.6673
0.0668 0.6673 0.3526
0.2642 0.2642 0.9543
0.2642 0.9543 0.2642
0.3231 0.6666 0.6666
0.3526 0.0668 0.6673
0.3526 0.6673 0.0668
0.3826 0.9824 0.9824
0.6673 0.0668 0.3526
0.6666 0.3231 0.6666
0.6673 0.3526 0.0668
0.6666 0.6666 0.3231
0.6711 0.6711 0.6711
0.9543 0.2642 0.2642
0.9824 0.3826 0.9824
0.9824 0.9824 0.3826
0.0331 0.6674 0.8516
0.0331 0.8516 0.6674
0.3032 0.3032 0.4882
0.3032 0.4882 0.3032
0.4810 0.4810 0.8502
0.4810 0.8502 0.4810
0.4882 0.3032 0.3032
0.6674 0.0331 0.8516
0.6674 0.8516 0.0331
0.8502 0.4810 0.4810
0.8516 0.0331 0.6674
0.8516 0.6674 0.0331
```

***

Record 9
LiMg16Al12: computed powder diffractogram (CuKα), based on a crystal structure in the Materials Project, relaxed with GGA-PBE.
Neutral-atom scattering factors, no anomalous dispersion.

Principal peaks in the range 2θ = 15–90°, sorted by position:
| 2θ/deg | Rel. int. |
| --- | --- |
| 34.11 | 18 |
| 36.17 | 92 |
| 36.25 | 100 |
| 36.34 | 59 |
| 40.05 | 19 |
| 40.19 | 21 |
| 40.35 | 39 |
| 43.91 | 18 |
| 65.08 | 19 |
| 65.20 | 19 |

Structural model:
```
LiMg16Al12
1.0
5.2608 -7.3984 0.0000
5.2608 7.3984 0.0000
-5.2347 0.0000 7.4633
Li Mg Al
1 16 12
Direct
0.0000 0.0000 0.0000
0.0000 0.6020 0.3927
0.0304 0.7171 0.1072
0.3071 0.3071 0.0524
0.3150 0.9190 0.0237
0.3161 0.6609 0.7082
0.3167 0.3167 0.7104
0.3167 0.6317 0.3113
0.6020 0.0000 0.3927
0.6317 0.3167 0.3113
0.6366 0.9167 0.7119
0.6609 0.3161 0.7082
0.7129 0.7129 0.4209
0.7171 0.0304 0.1072
0.9167 0.6366 0.7119
0.9190 0.3150 0.0237
0.9728 0.9728 0.3662
0.1294 0.3142 0.3404
0.1305 0.9489 0.7078
0.1347 0.5019 0.8939
0.3142 0.1294 0.3404
0.3178 0.9504 0.5252
0.4961 0.6816 0.0745
0.5009 0.5009 0.5291
0.5019 0.1347 0.8939
0.6816 0.4961 0.0745
0.6847 0.6847 0.8914
0.9489 0.1305 0.7078
0.9504 0.3178 0.5252
```

***

Record 10
LiMg6AlO8: computed powder diffractogram (CuKα), based on a crystal structure in the Materials Project, relaxed with GGA-PBE.
Neutral-atom scattering factors, no anomalous dispersion.

Principal peaks in the range 2θ = 15–90°, sorted by position:
| 2θ/deg | Rel. int. |
| --- | --- |
| 21.29 | 4 |
| 23.75 | 9 |
| 37.10 | 10 |
| 42.56 | 51 |
| 43.37 | 100 |
| 62.38 | 55 |
| 63.00 | 28 |
| 74.29 | 3 |
| 75.43 | 6 |
| 79.02 | 25 |

Structural model:
```
LiMg6AlO8
1.0
4.1731 0.0000 0.0000
0.0000 4.1731 0.0000
0.0000 0.0000 8.4965
Li Mg Al O
1 6 1 8
Direct
0.0000 0.0000 0.0000
0.0000 0.0000 0.5000
0.0000 0.5000 0.2429
0.0000 0.5000 0.7571
0.5000 0.0000 0.2429
0.5000 0.0000 0.7571
0.5000 0.5000 0.5000
0.5000 0.5000 0.0000
0.0000 0.0000 0.2576
0.0000 0.0000 0.7424
0.0000 0.5000 0.0000
0.0000 0.5000 0.5000
0.5000 0.0000 0.0000
0.5000 0.0000 0.5000
0.5000 0.5000 0.2266
0.5000 0.5000 0.7734
```

***

Record 11
LiMg6AlO8: computed powder diffractogram (CuKα), based on a crystal structure in the Materials Project, relaxed with GGA-PBE.
Neutral-atom scattering factors, no anomalous dispersion.

Principal peaks in the range 2θ = 15–90°, sorted by position:
| 2θ/deg | Rel. int. |
| --- | --- |
| 23.63 | 9 |
| 31.92 | 6 |
| 36.94 | 10 |
| 42.62 | 47 |
| 43.07 | 100 |
| 62.20 | 52 |
| 62.54 | 28 |
| 63.09 | 4 |
| 74.91 | 6 |
| 78.64 | 23 |

Structural model:
```
LiMg6AlO8
1.0
4.2007 0.0000 0.0000
0.0000 4.2007 0.0000
0.0000 0.0000 8.4851
Li Mg Al O
1 6 1 8
Direct
0.0000 0.0000 0.0000
0.0000 0.5000 0.2396
0.0000 0.5000 0.7604
0.5000 0.0000 0.2396
0.5000 0.0000 0.7604
0.5000 0.5000 0.0000
0.5000 0.5000 0.5000
0.0000 0.0000 0.5000
0.0000 0.0000 0.2828
0.0000 0.0000 0.7172
0.0000 0.5000 0.0000
0.0000 0.5000 0.5000
0.5000 0.0000 0.0000
0.5000 0.0000 0.5000
0.5000 0.5000 0.2526
0.5000 0.5000 0.7474
```